Structure and theoretical powder diffractogram of CaMnSe2O8 (a structure optimized by DFT (GGA+U); a wavelength of 1.5418 Å).
Peak positions follow from Bragg's law for the DFT cell and can differ from measured ones.

Cell and atoms:
Unit cell a=7.246 b=7.246 c=6.248 alpha=90.00 beta=90.00 gamma=90.00
Space group I-4m2 (No. 119)
Asymmetric unit:
Ca: 0.000 0.000 0.000 (multiplicity 2)
Mn: 0.000 0.500 0.750 (multiplicity 2)
Se: 0.000 0.000 0.500 (multiplicity 2)
Se: 0.000 0.500 0.250 (multiplicity 2)
O: 0.000 0.181 0.668 (multiplicity 8)
O: 0.000 0.324 0.077 (multiplicity 8)

The 10 most intense peaks (2θ = 15–90°), in order of falling intensity:
24.57 deg, intensity 100, hkl 2 0 0; 33.60 deg, intensity 55, hkl 1 1 2; 49.32 deg, intensity 52, hkl 3 1 2; 31.09 deg, intensity 19, hkl 2 1 1; 61.92 deg, intensity 17, hkl 3 3 2; 50.37 deg, intensity 15, hkl 4 0 0; 35.02 deg, intensity 15, hkl 2 2 0; 18.75 deg, intensity 13, hkl 1 0 1; 73.16 deg, intensity 10, hkl 5 1 2; 86.55 deg, intensity 10, hkl 4 2 4